For AcMnGeO6, a PBE+U-relaxed structure gives the simulated X-ray diffraction stick pattern in this record (Cu Kα, 1.54184 Å).
No peak broadening, texture or thermal motion is included.

Atomic structure:
a b c (Å): 5.0750 5.0750 5.3940
angles (deg): 90.00 90.00 120.00
Fractional coordinates of all 9 atoms:
Ac1 0.0000 0.0000 0.0000
Mn1 0.6667 0.3333 0.5000
Ge1 0.3333 0.6667 0.5000
O1 0.0010 0.3848 0.7016
O2 0.0010 0.6163 0.2984
O3 0.3837 0.3848 0.2984
O4 0.3837 0.9990 0.7016
O5 0.6152 0.6163 0.7016
O6 0.6152 0.9990 0.2984

Principal peaks in the range 5 to 70 degrees two-theta, low angle first:
- hkl 1 0 0, d 4.395, 2θ = 20.2°, I 20
- hkl 1 0 1, d 3.407, 2θ = 26.2°, I 100
- hkl 1 1 0, d 2.537, 2θ = 35.4°, I 25
- hkl 1 1 1, d 2.298, 2θ = 39.2°, I 18
- hkl 2 0 1, d 2.035, 2θ = 44.5°, I 22
- hkl 2 -1 2, d 1.848, 2θ = 49.3°, I 31
- hkl 1 0 3, d 1.664, 2θ = 55.2°, I 12
- hkl 3 -1 1, d 1.588, 2θ = 58.1°, I 22
- hkl 3 0 0, d 1.465, 2θ = 63.5°, I 9
- hkl 2 0 3, d 1.392, 2θ = 67.3°, I 8